This entry pairs a crystal structure of Cd3Hg2Pb2 with its computed powder diffractogram. Radiation: Cu Kα X-rays. Structure: DFT lattice parameters and positions (GGA-PBE).

Structural model:
Cell lengths 16.2344, 3.5865, 7.1262 Å; angles 90.00, 113.24, 90.00 degrees
Space group C2/m (No. 12)
One atom of each set of equivalent atoms:
1 Cd 0.0000 0.0000 0.0000 [2 per cell]
2 Cd 0.2202 0.0000 0.2959 [4 per cell]
3 Hg 0.1501 0.0000 0.8408 [4 per cell]
4 Pb 0.0724 0.5000 0.3975 [4 per cell]

Most intense lines, 10 to 90 degrees two-theta, low angle first:
- 30.1°, rel. 97, (1 1 1)
- 30.6°, rel. 53, (3 1 -1)
- 30.7°, rel. 44, (3 1 0)
- 33.1°, rel. 100, (6 0 -1)
- 34.0°, rel. 94, (2 0 2)
- 36.3°, rel. 68, (3 1 -2)
- 36.6°, rel. 36, (3 1 1)
- 38.7°, rel. 57, (4 0 -3)
- 40.6°, rel. 36, (5 1 -2)
- 62.6°, rel. 33, (2 2 2)